Record 1
Simulated PXRD pattern of Ca3Si4 for Cu Kα, 1.54184 Å, from a crystal structure in the Materials Project, relaxed with PBE.
Lines closer than 0.1° are merged.

Main lines, low angle first (2θ = 15–90°):
| 2θ/deg | intensity |
| --- | --- |
| 27.5 | 38 |
| 31.9 | 100 |
| 32.0 | 80 |
| 32.6 | 29 |
| 34.2 | 37 |
| 36.2 | 46 |
| 36.4 | 84 |
| 36.9 | 47 |
| 40.3 | 85 |
| 57.0 | 23 |

Cell and atoms:
a = 8.5471 Å, b = 8.5471 Å, c = 14.9033 Å
α = 90.00°, β = 90.00°, γ = 120.00°
Fractional positions:
Ca1 0.0000 0.0000 0.0000
Ca2 0.0000 0.0000 0.2500
Ca3 0.0000 0.0000 0.5000
Ca4 0.0000 0.0000 0.7500
Ca5 0.0929 0.6713 0.0974
Ca6 0.0929 0.6713 0.4026
Ca7 0.3287 0.4216 0.0974
Ca8 0.3287 0.4216 0.4026
Ca9 0.3333 0.6667 0.7500
Ca10 0.4216 0.0929 0.5974
Ca11 0.4216 0.0929 0.9026
Ca12 0.5784 0.9071 0.0974
Ca13 0.5784 0.9071 0.4026
Ca14 0.6667 0.3333 0.2500
Ca15 0.6713 0.5784 0.5974
Ca16 0.6713 0.5784 0.9026
Ca17 0.9071 0.3287 0.5974
Ca18 0.9071 0.3287 0.9026
Si1 0.0560 0.3827 0.2500
Si2 0.0898 0.7369 0.6101
Si3 0.0898 0.7369 0.8899
Si4 0.2631 0.3529 0.6101
Si5 0.2631 0.3529 0.8899
Si6 0.3267 0.9440 0.2500
Si7 0.3333 0.6667 0.2500
Si8 0.3333 0.6667 0.5569
Si9 0.3333 0.6667 0.9431
Si10 0.3529 0.0898 0.1101
Si11 0.3529 0.0898 0.3899
Si12 0.3827 0.3267 0.7500
Si13 0.6173 0.6733 0.2500
Si14 0.6471 0.9102 0.6101
Si15 0.6471 0.9102 0.8899
Si16 0.6667 0.3333 0.0569
Si17 0.6667 0.3333 0.4431
Si18 0.6667 0.3333 0.7500
Si19 0.6733 0.0560 0.7500
Si20 0.7369 0.6471 0.1101
Si21 0.7369 0.6471 0.3899
Si22 0.9102 0.2631 0.1101
Si23 0.9102 0.2631 0.3899
Si24 0.9440 0.6173 0.7500

---

Record 2
Simulated PXRD pattern of CaSi2 for Cu Kα, 1.54184 Å, from a crystal structure in the Materials Project, relaxed with PBE.
Lines closer than 0.1° are merged.

Main lines, low angle first (2θ = 15–90°):
| 2θ/deg | intensity |
| --- | --- |
| 32.2 | 100 |
| 36.3 | 11 |
| 45.5 | 19 |
| 46.7 | 31 |
| 57.9 | 16 |
| 60.6 | 13 |
| 62.8 | 10 |
| 77.4 | 13 |
| 83.2 | 6 |
| 85.9 | 6 |

Cell and atoms:
a = 3.8878 Å, b = 3.8878 Å, c = 4.9460 Å
α = 90.00°, β = 90.00°, γ = 120.00°
Fractional positions:
Ca1 0.0000 0.0000 0.0000
Si1 0.3333 0.6667 0.4133
Si2 0.6667 0.3333 0.5867

---

Record 3
Simulated PXRD pattern of CaSi2 for Cu Kα, 1.54184 Å, from a crystal structure in the Materials Project, relaxed with PBE.
Lines closer than 0.1° are merged.

Main lines, low angle first (2θ = 15–90°):
| 2θ/deg | intensity |
| --- | --- |
| 27.4 | 100 |
| 33.9 | 21 |
| 35.2 | 42 |
| 39.2 | 95 |
| 47.3 | 53 |
| 55.5 | 12 |
| 59.5 | 22 |
| 63.1 | 22 |
| 65.1 | 19 |
| 82.5 | 20 |

Cell and atoms:
a = 5.7350 Å, b = 5.7350 Å, c = 5.7350 Å
α = 39.16°, β = 39.16°, γ = 39.16°
Fractional positions:
Ca1 0.0000 0.0000 0.0000
Si1 0.1973 0.1973 0.1973
Si2 0.8027 0.8027 0.8027